[1]
The following is a computed powder diffraction line list of NaErMgBr6. It was derived from a DFT-relaxed cell (GGA-PBE, Alexandria), using a wavelength of 1.5418 Å.

Peak list (10 most intense, 2θ = 10–90°, in order of rising 2θ)
- 13.2°, I 25, (0 0 2)
- 14.5°, I 17, (1 0 0)
- 16.0°, I 24, (1 0 1)
- 19.7°, I 20, (1 0 2)
- 28.7°, I 100, (1 1 2)
- 37.1°, I 55, (1 1 4)
- 44.6°, I 34, (3 0 0)
- 48.4°, I 26, (2 -1 6)
- 53.9°, I 14, (4 -2 2)
- 73.4°, I 17, (3 0 8)

Cell and atoms:
Lattice parameters (Å, degrees): 7.0308 7.0308 13.3680 90.00 90.00 120.00
Space group P-31c (No. 163)
Inequivalent atoms, fractional coordinates:
Na  0.0000  0.0000  0.0000 (multiplicity 2)
Er  0.3333  0.6667  0.2500 (multiplicity 2)
Mg  0.3333  0.6667  0.7500 (multiplicity 2)
Br  0.0090  0.3631  0.6331 (multiplicity 12)

---

[2]
The following is a computed powder diffraction line list of NaErMg2Br8. It was derived from a DFT-relaxed cell (GGA-PBE, Alexandria), using a wavelength of 1.5418 Å.

Peak list (10 most intense, 2θ = 10–90°, in order of rising 2θ)
- 10.8°, I 17, (0 1 0)
- 19.0°, I 34, (1 0 -1)
- 29.0°, I 100, (1 2 1)
- 29.9°, I 38, (1 0 -2)
- 37.8°, I 37, (2 2 -1)
- 38.6°, I 15, (2 0 2)
- 44.1°, I 18, (0 4 0)
- 46.2°, I 30, (0 2 3)
- 49.5°, I 17, (3 2 -1)
- 54.2°, I 13, (1 4 -2)

Cell and atoms:
Lattice parameters (Å, degrees): 6.490 8.216 6.719 90.00 90.19 90.00
Space group P2/m (No. 10)
Inequivalent atoms, fractional coordinates:
Na  0.000  0.000  0.000 (multiplicity 1)
Er  0.000  0.500  0.000 (multiplicity 1)
Mg  0.500  0.238  0.500 (multiplicity 2)
Br  0.233  0.262  0.183 (multiplicity 4)
Br  0.282  0.500  0.671 (multiplicity 2)
Br  0.288  0.000  0.664 (multiplicity 2)

---

What did the second record say?
The following is a computed powder diffraction line list of NaErMg2Br8. It was derived from a DFT-relaxed cell (GGA-PBE, Alexandria), using a wavelength of 1.5418 Å.

Peak list (10 most intense, 2θ = 10–90°, in order of rising 2θ)
- 10.8°, I 17, (0 1 0)
- 19.0°, I 34, (1 0 -1)
- 29.0°, I 100, (1 2 1)
- 29.9°, I 38, (1 0 -2)
- 37.8°, I 37, (2 2 -1)
- 38.6°, I 15, (2 0 2)
- 44.1°, I 18, (0 4 0)
- 46.2°, I 30, (0 2 3)
- 49.5°, I 17, (3 2 -1)
- 54.2°, I 13, (1 4 -2)

Cell and atoms:
Lattice parameters (Å, degrees): 6.490 8.216 6.719 90.00 90.19 90.00
Space group P2/m (No. 10)
Inequivalent atoms, fractional coordinates:
Na  0.000  0.000  0.000 (multiplicity 1)
Er  0.000  0.500  0.000 (multiplicity 1)
Mg  0.500  0.238  0.500 (multiplicity 2)
Br  0.233  0.262  0.183 (multiplicity 4)
Br  0.282  0.500  0.671 (multiplicity 2)
Br  0.288  0.000  0.664 (multiplicity 2)

---

Number 2 is which compound? NaErMg2Br8